[1]
Calculated X-ray powder pattern
Compound: Nd2SiS5
Radiation: Cu Kα X-rays
Structure: a cell relaxed with PBE

Structural model:
```
data_Nd2SiS5
_space_group_name_H-M_alt 'P 1 21/c 1'
_space_group_IT_number 14
_cell_length_a 7.5849
_cell_length_b 12.5323
_cell_length_c 7.8285
_cell_angle_alpha 90.00
_cell_angle_beta 101.29
_cell_angle_gamma 90.00
loop_
_space_group_symop_operation_xyz
'x,y,z'
'-x,-y,-z'
'-x,y+1/2,-z+1/2'
'x,-y+1/2,z+1/2'
loop_
_atom_site_label
_atom_site_type_symbol
_atom_site_fract_x
_atom_site_fract_y
_atom_site_fract_z
Nd1 Nd 0.1599 0.1647 0.1327
Nd2 Nd 0.2397 0.5939 0.0420
Si1 Si 0.3347 0.6166 0.5931
S1 S 0.1320 0.7042 0.6943
S2 S 0.1362 0.1214 0.4987
S3 S 0.1734 0.5283 0.3852
S4 S 0.4213 0.0044 0.2806
S5 S 0.4715 0.2292 0.9522
```

Largest 10 diffraction maxima, by angle, 2θ = 5–70°:
4.854 Å, 18.28 deg, I 38
3.850 Å, 23.10 deg, I 100
3.720 Å, 23.92 deg, I 75
3.642 Å, 24.44 deg, I 37
3.566 Å, 24.97 deg, I 43
3.170 Å, 28.15 deg, I 38
2.690 Å, 33.31 deg, I 33
2.396 Å, 37.53 deg, I 41
2.383 Å, 37.75 deg, I 33
2.106 Å, 42.96 deg, I 28

***

[2]
Calculated X-ray powder pattern
Compound: Nd2SiS5
Radiation: Cu Kα X-rays
Structure: a cell relaxed with PBE

Structural model:
```
data_Nd2SiS5
_space_group_name_H-M_alt 'P 1 21/c 1'
_space_group_IT_number 14
_cell_length_a 8.6604
_cell_length_b 8.2126
_cell_length_c 12.1747
_cell_angle_alpha 90.00
_cell_angle_beta 92.78
_cell_angle_gamma 90.00
loop_
_space_group_symop_operation_xyz
'x,y,z'
'-x,-y,-z'
'-x,y+1/2,-z+1/2'
'x,-y+1/2,z+1/2'
loop_
_atom_site_label
_atom_site_type_symbol
_atom_site_fract_x
_atom_site_fract_y
_atom_site_fract_z
Nd1 Nd 0.0048 0.0729 0.1610
Nd2 Nd 0.2440 0.0744 0.5075
Si1 Si 0.4599 0.7161 0.2845
S1 S 0.0261 0.5913 0.8677
S2 S 0.1797 0.0995 0.9797
S3 S 0.2590 0.6693 0.1930
S4 S 0.3270 0.1700 0.2715
S5 S 0.4464 0.7011 0.9434
```

Largest 10 diffraction maxima, by angle, 2θ = 5–70°:
8.650 Å, 10.23 deg, I 83
6.806 Å, 13.01 deg, I 35
4.186 Å, 21.23 deg, I 37
3.703 Å, 24.03 deg, I 100
3.635 Å, 24.49 deg, I 64
3.607 Å, 24.68 deg, I 69
3.178 Å, 28.08 deg, I 34
2.386 Å, 37.71 deg, I 66
2.163 Å, 41.76 deg, I 37
1.995 Å, 45.47 deg, I 37

***

[3]
Calculated X-ray powder pattern
Compound: Nd6Si4S17
Radiation: Cu Kα X-rays
Structure: a cell relaxed with PBE

Structural model:
```
data_Nd6Si4S17
_space_group_name_H-M_alt 'P -1'
_space_group_IT_number 2
_cell_length_a 8.9960
_cell_length_b 10.0119
_cell_length_c 14.3036
_cell_angle_alpha 82.01
_cell_angle_beta 87.00
_cell_angle_gamma 89.22
loop_
_space_group_symop_operation_xyz
'x,y,z'
'-x,-y,-z'
loop_
_atom_site_label
_atom_site_type_symbol
_atom_site_fract_x
_atom_site_fract_y
_atom_site_fract_z
Nd1 Nd 0.0169 0.2686 0.4605
Nd2 Nd 0.0846 0.5806 0.1656
Nd3 Nd 0.1064 0.8846 0.8158
Nd4 Nd 0.3326 0.9103 0.3424
Nd5 Nd 0.3682 0.5642 0.6764
Nd6 Nd 0.4487 0.2383 0.0015
Si1 Si 0.2310 0.9381 0.0991
Si2 Si 0.2493 0.9996 0.5837
Si3 Si 0.2502 0.5599 0.9228
Si4 Si 0.2761 0.5580 0.3939
S1 S 0.0089 0.8728 0.1154
S2 S 0.0146 0.9912 0.6232
S3 S 0.0402 0.6488 0.9521
S4 S 0.0673 0.6426 0.7218
S5 S 0.1077 0.7019 0.3449
S6 S 0.1843 0.4807 0.5322
S7 S 0.2482 0.1141 0.1678
S8 S 0.2573 0.3844 0.8512
S9 S 0.2976 0.8066 0.5408
S10 S 0.3040 0.4118 0.3017
S11 S 0.3051 0.1332 0.4602
S12 S 0.3217 0.9818 0.9565
S13 S 0.3407 0.5008 0.0570
S14 S 0.3553 0.0303 0.7068
S15 S 0.3677 0.7815 0.1665
S16 S 0.3823 0.7131 0.8386
S17 S 0.4842 0.6538 0.3966
```

Largest 10 diffraction maxima, by angle, 2θ = 5–70°:
6.655 Å, 13.30 deg, I 59
4.352 Å, 20.40 deg, I 100
4.266 Å, 20.82 deg, I 99
4.089 Å, 21.73 deg, I 66
4.053 Å, 21.93 deg, I 61
4.032 Å, 22.05 deg, I 76
3.999 Å, 22.23 deg, I 59
2.708 Å, 33.08 deg, I 74
2.582 Å, 34.75 deg, I 57
2.399 Å, 37.49 deg, I 70

***

[4]
Calculated X-ray powder pattern
Compound: Nd2SmS4
Radiation: Cu Kα X-rays
Structure: a cell relaxed with PBE

Structural model:
```
data_Nd2SmS4
_space_group_name_H-M_alt 'I -4 2 d'
_space_group_IT_number 122
_space_group_name_Hall 'I -4 2bw'
_cell_length_a 8.5434
_cell_length_b 8.5434
_cell_length_c 8.5519
_cell_angle_alpha 90.00
_cell_angle_beta 90.00
_cell_angle_gamma 90.00
loop_
_atom_site_label
_atom_site_type_symbol
_atom_site_fract_x
_atom_site_fract_y
_atom_site_fract_z
Nd1 Nd 0.1249 0.2500 0.1250
Sm1 Sm 0.0000 0.0000 0.5000
S1 S 0.0738 0.1766 0.7985
```

Largest 10 diffraction maxima, by angle, 2θ = 5–70°:
3.489 Å, 25.53 deg, I 100
3.022 Å, 29.56 deg, I 8
2.703 Å, 33.15 deg, I 93
2.284 Å, 39.45 deg, I 57
1.911 Å, 47.58 deg, I 39
1.822 Å, 50.06 deg, I 26
1.744 Å, 52.45 deg, I 8
1.676 Å, 54.77 deg, I 30
1.560 Å, 59.22 deg, I 8
1.386 Å, 67.57 deg, I 36